Calculated powder X-ray diffraction pattern
Compound: CeYPu2Te5
Radiation: Cu Kα, 1.54184 Å
Structure: the GGA-PBE geometry in Alexandria
Intensities are scaled so that the largest is 100.

Largest 8 diffraction maxima, sorted by position, 2θ from 10° to 90°:
- 2θ 22.21, 4.002 Å, I = 94
- 2θ 27.07, 3.294 Å, I = 27
- 2θ 27.94, 3.193 Å, I = 71
- 2θ 31.62, 2.830 Å, I = 100
- 2θ 32.19, 2.781 Å, I = 63
- 2θ 42.69, 2.118 Å, I = 46
- 2θ 45.32, 2.001 Å, I = 37
- 2θ 56.67, 1.624 Å, I = 25

Atomic structure:
Unit cell a=5.6594 b=5.6594 c=11.6038 alpha=90.00 beta=90.00 gamma=90.00
Space group P4/mmm (No. 123)
Inequivalent atoms, fractional coordinates:
Ce 0.0000 0.0000 0.0000 [1 per cell]
Y 0.0000 0.0000 0.5000 [1 per cell]
Pu 0.5000 0.5000 0.1719 [2 per cell]
Te 0.0000 0.0000 0.2571 [2 per cell]
Te 0.0000 0.5000 0.0000 [2 per cell]
Te 0.5000 0.5000 0.5000 [1 per cell]